# Nb3Pb3N5
Computed XRD peak list, CuKα. Input: a crystal structure in Alexandria, relaxed with GGA-PBE.

Cell and atoms:
a = 6.3654 Å, b = 8.0144 Å, c = 9.2209 Å
α = 105.27°, β = 96.01°, γ = 103.81°
Sites, in units of the cell vectors:
Nb1 0.0790 0.1976 0.0378
Nb2 0.0992 0.4230 0.7124
Nb3 0.3290 0.5126 0.3769
Nb4 0.6710 0.4874 0.6231
Nb5 0.9008 0.5770 0.2876
Nb6 0.9210 0.8024 0.9622
Pb1 0.2514 0.0394 0.4852
Pb2 0.4723 0.8501 0.7806
Pb3 0.4852 0.7076 0.1254
Pb4 0.5148 0.2924 0.8746
Pb5 0.5277 0.1499 0.2194
Pb6 0.7486 0.9606 0.5148
N1 0.0334 0.3714 0.2281
N2 0.1398 0.3120 0.8757
N3 0.1842 0.7101 0.4181
N4 0.2015 0.9834 0.0360
N5 0.3229 0.4463 0.5698
N6 0.6771 0.5537 0.4302
N7 0.7985 0.0166 0.9640
N8 0.8158 0.2899 0.5819
N9 0.8602 0.6880 0.1243
N10 0.9666 0.6286 0.7719

Main lines, in order of rising 2θ (10 to 90 degrees two-theta):
2θ = 14.56°, I = 44
2θ = 25.21°, I = 41
2θ = 28.78°, I = 100
2θ = 29.35°, I = 61
2θ = 31.55°, I = 37
2θ = 31.78°, I = 43
2θ = 32.47°, I = 26
2θ = 32.86°, I = 30
2θ = 34.20°, I = 34
2θ = 35.66°, I = 25



# PmNb4N6
Computed XRD peak list, CuKα. Input: a crystal structure in Alexandria, relaxed with GGA-PBE.

Cell and atoms:
a = 5.4236 Å, b = 5.4236 Å, c = 15.8504 Å
α = 90.00°, β = 90.00°, γ = 145.98°
Sites, in units of the cell vectors:
Pm1 0.1538 0.8462 0.7500
Pm2 0.8462 0.1538 0.2500
Nb1 0.1020 0.8980 0.1295
Nb2 0.1020 0.8980 0.3705
Nb3 0.3538 0.6462 0.0420
Nb4 0.3538 0.6462 0.4580
Nb5 0.6462 0.3538 0.5420
Nb6 0.6462 0.3538 0.9580
Nb7 0.8980 0.1020 0.6295
Nb8 0.8980 0.1020 0.8705
N1 0.0000 0.0000 0.0000
N2 0.0000 0.0000 0.5000
N3 0.1640 0.8360 0.2500
N4 0.2639 0.7361 0.5928
N5 0.2639 0.7361 0.9072
N6 0.4651 0.5349 0.1562
N7 0.4651 0.5349 0.3438
N8 0.5349 0.4651 0.6562
N9 0.5349 0.4651 0.8438
N10 0.7361 0.2639 0.0928
N11 0.7361 0.2639 0.4072
N12 0.8360 0.1640 0.7500

Main lines, in order of rising 2θ (10 to 90 degrees two-theta):
2θ = 31.57°, I = 37
2θ = 33.12°, I = 100
2θ = 34.07°, I = 68
2θ = 34.59°, I = 34
2θ = 40.22°, I = 68
2θ = 42.27°, I = 27
2θ = 55.38°, I = 22
2θ = 55.72°, I = 20
2θ = 58.19°, I = 39
2θ = 68.58°, I = 24



# PmSm2NbN4
Computed XRD peak list, CuKα. Input: a crystal structure in Alexandria, relaxed with GGA-PBE.

Cell and atoms:
a = 6.2892 Å, b = 6.2892 Å, c = 12.3987 Å
α = 90.00°, β = 90.00°, γ = 148.09°
Sites, in units of the cell vectors:
Pm1 0.1012 0.8988 0.7500
Pm2 0.8988 0.1012 0.2500
Sm1 0.3695 0.6305 0.5353
Sm2 0.3695 0.6305 0.9647
Sm3 0.6305 0.3695 0.0353
Sm4 0.6305 0.3695 0.4647
Nb1 0.1604 0.8396 0.2500
Nb2 0.8396 0.1604 0.7500
N1 0.0000 0.0000 0.0000
N2 0.0000 0.0000 0.5000
N3 0.2636 0.7364 0.1280
N4 0.2636 0.7364 0.3720
N5 0.4468 0.5532 0.7500
N6 0.5532 0.4468 0.2500
N7 0.7364 0.2636 0.6280
N8 0.7364 0.2636 0.8720

Main lines, in order of rising 2θ (10 to 90 degrees two-theta):
2θ = 26.12°, I = 32
2θ = 28.80°, I = 46
2θ = 29.55°, I = 44
2θ = 30.50°, I = 100
2θ = 34.94°, I = 24
2θ = 37.20°, I = 70
2θ = 41.73°, I = 26
2θ = 48.20°, I = 19
2θ = 50.64°, I = 17
2θ = 61.84°, I = 23



# PrNbN2
Computed XRD peak list, CuKα. Input: a crystal structure in Alexandria, relaxed with GGA-PBE.

Cell and atoms:
a = 5.8585 Å, b = 3.4285 Å, c = 11.1471 Å
α = 90.00°, β = 90.00°, γ = 90.00°
Sites, in units of the cell vectors:
Pr1 0.0848 0.2500 0.1385
Pr2 0.4152 0.7500 0.6385
Pr3 0.5848 0.2500 0.3615
Pr4 0.9152 0.7500 0.8615
Nb1 0.0817 0.7500 0.3917
Nb2 0.4183 0.2500 0.8917
Nb3 0.5817 0.7500 0.1083
Nb4 0.9183 0.2500 0.6083
N1 0.1624 0.2500 0.7525
N2 0.2238 0.2500 0.4858
N3 0.2762 0.7500 0.9858
N4 0.3376 0.7500 0.2525
N5 0.6624 0.2500 0.7475
N6 0.7238 0.2500 0.0142
N7 0.7762 0.7500 0.5142
N8 0.8376 0.7500 0.2475

Main lines, in order of rising 2θ (10 to 90 degrees two-theta):
2θ = 31.28°, I = 15
2θ = 31.58°, I = 28
2θ = 32.12°, I = 28
2θ = 34.31°, I = 100
2θ = 38.91°, I = 16
2θ = 39.16°, I = 19
2θ = 53.45°, I = 12
2θ = 54.72°, I = 20
2θ = 58.68°, I = 16
2θ = 59.93°, I = 12



# Pr2Nb2N3
Computed XRD peak list, CuKα. Input: a crystal structure in Alexandria, relaxed with GGA-PBE.

Cell and atoms:
a = 12.1187 Å, b = 3.4586 Å, c = 5.8948 Å
α = 90.00°, β = 112.76°, γ = 90.00°
Sites, in units of the cell vectors:
Pr1 0.1103 0.0000 0.3249
Pr2 0.3897 0.5000 0.6751
Pr3 0.6103 0.5000 0.3249
Pr4 0.8897 0.0000 0.6751
Nb1 0.1562 0.5000 0.8319
Nb2 0.3438 0.0000 0.1681
Nb3 0.6562 0.0000 0.8319
Nb4 0.8438 0.5000 0.1681
N1 0.0000 0.5000 0.5000
N2 0.2467 0.0000 0.7700
N3 0.2533 0.5000 0.2300
N4 0.5000 0.0000 0.5000
N5 0.7467 0.5000 0.7700
N6 0.7533 0.0000 0.2300

Main lines, in order of rising 2θ (10 to 90 degrees two-theta):
2θ = 26.96°, I = 23
2θ = 29.77°, I = 24
2θ = 30.51°, I = 38
2θ = 32.04°, I = 40
2θ = 32.96°, I = 23
2θ = 33.31°, I = 95
2θ = 34.90°, I = 100
2θ = 42.23°, I = 26
2θ = 48.50°, I = 19
2θ = 53.90°, I = 20



# PrNbN3
Computed XRD peak list, CuKα. Input: a crystal structure in Alexandria, relaxed with GGA-PBE.

Cell and atoms:
a = 6.4403 Å, b = 6.4403 Å, c = 6.4968 Å
α = 104.92°, β = 104.92°, γ = 35.78°
Sites, in units of the cell vectors:
Pr1 0.1239 0.1239 0.3284
Pr2 0.8761 0.8761 0.6716
Nb1 0.3493 0.3493 0.1294
Nb2 0.6507 0.6507 0.8706
N1 0.1707 0.1707 0.9819
N2 0.3369 0.3369 0.4147
N3 0.4813 0.4813 0.8849
N4 0.5187 0.5187 0.1151
N5 0.6631 0.6631 0.5853
N6 0.8293 0.8293 0.0181

Main lines, in order of rising 2θ (10 to 90 degrees two-theta):
2θ = 28.46°, I = 44
2θ = 28.78°, I = 100
2θ = 30.30°, I = 39
2θ = 32.54°, I = 45
2θ = 35.75°, I = 14
2θ = 35.96°, I = 19
2θ = 45.87°, I = 19
2θ = 48.07°, I = 18
2θ = 50.45°, I = 18
2θ = 54.87°, I = 14



# Pr2TaNbN5
Computed XRD peak list, CuKα. Input: a crystal structure in Alexandria, relaxed with GGA-PBE.

Cell and atoms:
a = 7.0067 Å, b = 7.0067 Å, c = 10.7849 Å
α = 90.00°, β = 90.00°, γ = 151.88°
Sites, in units of the cell vectors:
Pr1 0.1068 0.8932 0.5000
Pr2 0.1463 0.8537 0.0990
Pr3 0.8537 0.1463 0.5990
Pr4 0.8932 0.1068 0.0000
Ta1 0.2239 0.7761 0.8228
Ta2 0.7761 0.2239 0.3228
Nb1 0.4691 0.5309 0.2702
Nb2 0.5309 0.4691 0.7702
N1 0.0552 0.9448 0.8618
N2 0.2795 0.7205 0.4508
N3 0.3153 0.6847 0.1976
N4 0.3690 0.6310 0.8119
N5 0.4921 0.5079 0.5966
N6 0.5079 0.4921 0.0966
N7 0.6310 0.3690 0.3119
N8 0.6847 0.3153 0.6976
N9 0.7205 0.2795 0.9508
N10 0.9448 0.0552 0.3618

Main lines, in order of rising 2θ (10 to 90 degrees two-theta):
2θ = 28.08°, I = 70
2θ = 31.11°, I = 92
2θ = 31.77°, I = 61
2θ = 32.90°, I = 62
2θ = 33.23°, I = 26
2θ = 33.97°, I = 61
2θ = 36.96°, I = 100
2θ = 40.69°, I = 35
2θ = 53.85°, I = 26
2θ = 54.26°, I = 31



# Nb3Pt3N
Computed XRD peak list, CuKα. Input: a crystal structure in Alexandria, relaxed with GGA-PBE.

Cell and atoms:
a = 8.4477 Å, b = 8.4477 Å, c = 8.4477 Å
α = 60.00°, β = 60.00°, γ = 60.00°
Sites, in units of the cell vectors:
Nb1 0.0748 0.0748 0.6752
Nb2 0.0748 0.6752 0.0748
Nb3 0.0748 0.6752 0.6752
Nb4 0.3248 0.3248 0.9252
Nb5 0.3248 0.9252 0.3248
Nb6 0.3248 0.9252 0.9252
Nb7 0.6752 0.0748 0.0748
Nb8 0.6752 0.0748 0.6752
Nb9 0.6752 0.6752 0.0748
Nb10 0.9252 0.3248 0.3248
Nb11 0.9252 0.3248 0.9252
Nb12 0.9252 0.9252 0.3248
Pt1 0.0000 0.5000 0.5000
Pt2 0.2814 0.2814 0.2814
Pt3 0.2814 0.2814 0.6557
Pt4 0.2814 0.6557 0.2814
Pt5 0.3443 0.7186 0.7186
Pt6 0.5000 0.0000 0.5000
Pt7 0.5000 0.5000 0.0000
Pt8 0.5000 0.5000 0.5000
Pt9 0.6557 0.2814 0.2814
Pt10 0.7186 0.3443 0.7186
Pt11 0.7186 0.7186 0.3443
Pt12 0.7186 0.7186 0.7186
N1 0.0000 0.0000 0.0000
N2 0.0000 0.0000 0.5000
N3 0.0000 0.5000 0.0000
N4 0.5000 0.0000 0.0000

Main lines, in order of rising 2θ (10 to 90 degrees two-theta):
2θ = 12.83°, I = 43
2θ = 29.92°, I = 17
2θ = 36.86°, I = 17
2θ = 39.18°, I = 100
2θ = 42.82°, I = 60
2θ = 44.89°, I = 12
2θ = 59.43°, I = 13
2θ = 66.40°, I = 18
2θ = 79.89°, I = 13
2θ = 83.75°, I = 13



# Nb3Pt2N
Computed XRD peak list, CuKα. Input: a crystal structure in Alexandria, relaxed with GGA-PBE.

Cell and atoms:
a = 7.0824 Å, b = 7.0824 Å, c = 7.0824 Å
α = 90.00°, β = 90.00°, γ = 90.00°
Sites, in units of the cell vectors:
Nb1 0.0455 0.1250 0.7955
Nb2 0.1250 0.7955 0.0455
Nb3 0.2045 0.5455 0.3750
Nb4 0.2955 0.4545 0.8750
Nb5 0.3750 0.2045 0.5455
Nb6 0.4545 0.8750 0.2955
Nb7 0.5455 0.3750 0.2045
Nb8 0.6250 0.7045 0.9545
Nb9 0.7045 0.9545 0.6250
Nb10 0.7955 0.0455 0.1250
Nb11 0.8750 0.2955 0.4545
Nb12 0.9545 0.6250 0.7045
Pt1 0.0607 0.9393 0.4393
Pt2 0.1893 0.1893 0.1893
Pt3 0.3107 0.8107 0.6893
Pt4 0.4393 0.0607 0.9393
Pt5 0.5607 0.5607 0.5607
Pt6 0.6893 0.3107 0.8107
Pt7 0.8107 0.6893 0.3107
Pt8 0.9393 0.4393 0.0607
N1 0.1250 0.3750 0.6250
N2 0.3750 0.6250 0.1250
N3 0.6250 0.1250 0.3750
N4 0.8750 0.8750 0.8750

Main lines, in order of rising 2θ (10 to 90 degrees two-theta):
2θ = 17.71°, I = 16
2θ = 21.73°, I = 17
2θ = 38.12°, I = 100
2θ = 40.27°, I = 52
2θ = 42.32°, I = 32
2θ = 48.07°, I = 23
2θ = 53.33°, I = 10
2θ = 67.43°, I = 35
2θ = 71.77°, I = 28
2θ = 81.55°, I = 12



# Pu4NbN5
Computed XRD peak list, CuKα. Input: a crystal structure in Alexandria, relaxed with GGA-PBE.

Cell and atoms:
a = 5.8848 Å, b = 5.8848 Å, c = 5.8848 Å
α = 99.59°, β = 99.59°, γ = 131.82°
Sites, in units of the cell vectors:
Pu1 0.1005 0.2967 0.3972
Pu2 0.2967 0.8995 0.1961
Pu3 0.7033 0.1005 0.8039
Pu4 0.8995 0.7033 0.6028
Nb1 0.5000 0.5000 0.0000
N1 0.0000 0.0000 0.0000
N2 0.2102 0.5954 0.8056
N3 0.4046 0.2102 0.6148
N4 0.5954 0.7898 0.3852
N5 0.7898 0.4046 0.1944

Main lines, in order of rising 2θ (10 to 90 degrees two-theta):
2θ = 16.50°, I = 3
2θ = 21.89°, I = 5
2θ = 23.42°, I = 3
2θ = 32.27°, I = 100
2θ = 37.43°, I = 66
2θ = 53.98°, I = 46
2θ = 64.30°, I = 45
2θ = 67.53°, I = 15
2θ = 79.85°, I = 7
2θ = 88.76°, I = 20



# Pu5NbN8
Computed XRD peak list, CuKα. Input: a crystal structure in Alexandria, relaxed with GGA-PBE.

Cell and atoms:
a = 6.1416 Å, b = 6.1416 Å, c = 6.1416 Å
α = 109.44°, β = 109.44°, γ = 109.54°
Sites, in units of the cell vectors:
Pu1 0.0000 0.0000 0.0000
Pu2 0.1233 0.2399 0.6111
Pu3 0.4878 0.8767 0.1166
Pu4 0.6288 0.5122 0.3889
Pu5 0.7601 0.3712 0.8834
Nb1 0.2500 0.7500 0.5000
N1 0.0095 0.6259 0.7459
N2 0.2510 0.5138 0.1458
N3 0.3680 0.1052 0.8542
N4 0.3741 0.1200 0.3836
N5 0.4862 0.6320 0.7372
N6 0.7364 0.9905 0.6164
N7 0.8800 0.2636 0.2541
N8 0.8948 0.7490 0.2628

Main lines, in order of rising 2θ (10 to 90 degrees two-theta):
2θ = 30.89°, I = 100
2θ = 35.81°, I = 10
2θ = 40.21°, I = 43
2θ = 48.00°, I = 27
2θ = 58.18°, I = 25
2θ = 61.31°, I = 16
2θ = 67.32°, I = 25
2θ = 73.09°, I = 6
2θ = 84.15°, I = 18
2θ = 89.59°, I = 9